Entry 1:
This entry pairs a crystal structure of Li2SmSiSe4 with its computed X-ray powder pattern. Radiation: Cu Kα X-rays. Structure: a cell relaxed with GGA-PBE.
Peak positions follow from Bragg's law for the DFT cell and can differ from measured ones.

Largest 10 diffraction maxima, by intensity, 10° ≤ 2θ ≤ 90°:
2θ 30.2, d = 2.964 Å, intensity 100, hkl 2 2 -1
2θ 36.3, d = 2.476 Å, intensity 66, hkl 2 2 0
2θ 31.8, d = 2.811 Å, intensity 63, hkl 2 0 -2
2θ 33.5, d = 2.679 Å, intensity 48, hkl 1 1 1
2θ 34.3, d = 2.615 Å, intensity 48, hkl 0 4 0
2θ 17.0, d = 5.231 Å, intensity 43, hkl 0 2 0
2θ 19.7, d = 4.504 Å, intensity 36, hkl 0 0 1
2θ 47.5, d = 1.915 Å, intensity 34, hkl 2 4 -2
2θ 39.8, d = 2.262 Å, intensity 34, hkl 3 1 -1
2θ 41.6, d = 2.169 Å, intensity 31, hkl 1 3 -2

Crystal structure
```
data_Li2SmSiSe4
_cell_length_a 7.1943
_cell_length_b 10.4611
_cell_length_c 5.7576
_cell_angle_alpha 90.00
_cell_angle_beta 128.53
_cell_angle_gamma 90.00
_space_group_name_H-M_alt 'C 1 m 1'
_space_group_IT_number 8
loop_
_space_group_symop_operation_xyz
'x,y,z'
'x,-y,z'
'x+1/2,y+1/2,z'
'x+1/2,-y+1/2,z'
loop_
_atom_site_label
_atom_site_fract_x
_atom_site_fract_y
_atom_site_fract_z
Li1 0.0000 0.2493 0.0000
Sm1 0.4064 0.0000 0.5007
Si1 0.4516 0.5000 0.5004
Se1 0.0422 0.5000 0.0984
Se2 0.0650 0.2183 0.5013
Se3 0.4441 0.5000 0.9034
```



Entry 2:
This entry pairs a crystal structure of Ta4W9 with its computed X-ray powder pattern. Radiation: Cu Kα X-rays. Structure: a cell relaxed with GGA-PBE.
Peak positions follow from Bragg's law for the DFT cell and can differ from measured ones.

Largest 10 diffraction maxima, by intensity, 10° ≤ 2θ ≤ 90°:
2θ 39.3, d = 2.295 Å, intensity 100, hkl 1 1 6
2θ 40.3, d = 2.238 Å, intensity 64, hkl 0 1 11
2θ 42.8, d = 2.111 Å, intensity 57, hkl 2 0 5
2θ 39.7, d = 2.269 Å, intensity 48, hkl 0 2 1
2θ 34.1, d = 2.628 Å, intensity 47, hkl 1 1 0
2θ 37.5, d = 2.401 Å, intensity 42, hkl 1 0 10
2θ 71.8, d = 1.314 Å, intensity 38, hkl 2 2 0
2θ 65.3, d = 1.430 Å, intensity 32, hkl 1 2 11
2θ 38.2, d = 2.356 Å, intensity 24, hkl 0 0 12
2θ 64.5, d = 1.444 Å, intensity 24, hkl 0 3 6

Crystal structure
```
data_Ta4W9
_cell_length_a 5.2561
_cell_length_b 5.2561
_cell_length_c 28.2664
_cell_angle_alpha 90.00
_cell_angle_beta 90.00
_cell_angle_gamma 120.00
_space_group_name_H-M_alt 'R -3 m'
_space_group_IT_number 166
_space_group_name_Hall '-R 3 2"'
loop_
_atom_site_label
_atom_site_fract_x
_atom_site_fract_y
_atom_site_fract_z
Ta1 0.0000 0.0000 0.0461
Ta2 0.0000 0.0000 0.1494
W1 0.0000 0.0000 0.3324
W2 0.0000 0.0000 0.5000
W3 0.0032 0.5016 0.9112
```



Entry 3:
This entry pairs a crystal structure of GdHoAg2Te4 with its computed X-ray powder pattern. Radiation: Cu Kα X-rays. Structure: a cell relaxed with GGA-PBE.
Peak positions follow from Bragg's law for the DFT cell and can differ from measured ones.

Largest 10 diffraction maxima, by intensity, 10° ≤ 2θ ≤ 90°:
2θ 25.8, d = 3.448 Å, intensity 100, hkl 2 0 1
2θ 33.9, d = 2.642 Å, intensity 84, hkl 3 1 1
2θ 35.6, d = 2.519 Å, intensity 79, hkl 0 4 0
2θ 42.6, d = 2.122 Å, intensity 58, hkl 3 3 1
2θ 31.4, d = 2.845 Å, intensity 54, hkl 2 2 1
2θ 42.2, d = 2.141 Å, intensity 39, hkl 0 2 2
2θ 28.0, d = 3.186 Å, intensity 29, hkl 1 3 0
2θ 44.5, d = 2.034 Å, intensity 19, hkl 2 4 1
2θ 73.3, d = 1.292 Å, intensity 18, hkl 4 2 3
2θ 51.3, d = 1.781 Å, intensity 18, hkl 4 4 0

Crystal structure
```
data_GdHoAg2Te4
_cell_length_a 10.0605
_cell_length_b 10.0873
_cell_length_c 4.7295
_cell_angle_alpha 90.00
_cell_angle_beta 90.00
_cell_angle_gamma 90.00
_space_group_name_H-M_alt 'C m m 2'
_space_group_IT_number 35
loop_
_space_group_symop_operation_xyz
'x,y,z'
'-x,-y,z'
'-x,y,z'
'x,-y,z'
'x+1/2,y+1/2,z'
'-x+1/2,-y+1/2,z'
'-x+1/2,y+1/2,z'
'x+1/2,-y+1/2,z'
loop_
_atom_site_label
_atom_site_fract_x
_atom_site_fract_y
_atom_site_fract_z
Gd1 0.0000 0.0000 0.0000
Ho1 0.0000 0.5000 0.3898
Ag1 0.2500 0.2500 0.1944
Te1 0.0000 0.2036 0.4843
Te2 0.1996 0.5000 0.9063
```



Entry 4:
This entry pairs a crystal structure of ZnGe with its computed X-ray powder pattern. Radiation: Cu Kα X-rays. Structure: a cell relaxed with GGA-PBE.
Peak positions follow from Bragg's law for the DFT cell and can differ from measured ones.

Largest 10 diffraction maxima, by intensity, 10° ≤ 2θ ≤ 90°:
2θ 40.3, d = 2.240 Å, intensity 100, hkl 1 1 1
2θ 40.5, d = 2.225 Å, intensity 50, hkl 0 1 2
2θ 37.5, d = 2.401 Å, intensity 41, hkl 0 2 0
2θ 35.4, d = 2.532 Å, intensity 24, hkl 1 0 1
2θ 69.5, d = 1.353 Å, intensity 19, hkl 1 3 1
2θ 76.6, d = 1.244 Å, intensity 19, hkl 1 2 3
2θ 64.0, d = 1.454 Å, intensity 16, hkl 1 0 3
2θ 52.5, d = 1.742 Å, intensity 15, hkl 1 2 1
2θ 78.1, d = 1.224 Å, intensity 13, hkl 2 1 2
2θ 35.8, d = 2.511 Å, intensity 11, hkl 0 0 2

Crystal structure
```
data_ZnGe
_cell_length_a 2.9321
_cell_length_b 4.8020
_cell_length_c 5.0228
_cell_angle_alpha 90.00
_cell_angle_beta 90.00
_cell_angle_gamma 90.00
_space_group_name_H-M_alt 'P m m n'
_space_group_IT_number 59
loop_
_space_group_symop_operation_xyz
'x,y,z'
'-x,-y,-z'
'-x+1/2,-y+1/2,z'
'x+1/2,y+1/2,-z'
'x+1/2,-y,-z'
'-x+1/2,y,z'
'-x,y+1/2,-z'
'x,-y+1/2,z'
loop_
_atom_site_label
_atom_site_fract_x
_atom_site_fract_y
_atom_site_fract_z
Zn1 0.2500 0.2500 0.0777
Ge1 0.2500 0.7500 0.4100
```



Entry 5:
This entry pairs a crystal structure of LuTlSeO with its computed X-ray powder pattern. Radiation: Cu Kα X-rays. Structure: a cell relaxed with GGA-PBE.
Peak positions follow from Bragg's law for the DFT cell and can differ from measured ones.

Largest 10 diffraction maxima, by intensity, 10° ≤ 2θ ≤ 90°:
2θ 26.3, d = 3.389 Å, intensity 100, hkl 1 1 -2
2θ 27.0, d = 3.308 Å, intensity 100, hkl 1 1 2
2θ 43.3, d = 2.088 Å, intensity 70, hkl 0 2 4
2θ 35.8, d = 2.506 Å, intensity 58, hkl 1 2 0
2θ 22.4, d = 3.963 Å, intensity 52, hkl 1 1 0
2θ 45.8, d = 1.982 Å, intensity 45, hkl 2 2 0
2θ 14.2, d = 6.253 Å, intensity 43, hkl 0 0 2
2θ 36.1, d = 2.487 Å, intensity 34, hkl 1 1 -4
2θ 32.7, d = 2.736 Å, intensity 32, hkl 0 2 1
2θ 21.3, d = 4.175 Å, intensity 29, hkl 0 1 2

Crystal structure
```
data_LuTlSeO
_cell_length_a 5.6053
_cell_length_b 5.6081
_cell_length_c 12.5160
_cell_angle_alpha 90.00
_cell_angle_beta 92.18
_cell_angle_gamma 90.00
_space_group_name_H-M_alt 'P 1 21 1'
_space_group_IT_number 4
loop_
_space_group_symop_operation_xyz
'x,y,z'
'-x,y+1/2,-z'
loop_
_atom_site_label
_atom_site_fract_x
_atom_site_fract_y
_atom_site_fract_z
Lu1 0.0042 0.0000 0.0787
Lu2 0.4940 0.0016 0.9205
Tl1 0.1197 0.2732 0.4907
Tl2 0.4953 0.5214 0.6434
Se1 0.2015 0.3169 0.2420
Se2 0.2066 0.2254 0.7534
O1 0.2500 0.7496 0.0000
O2 0.2529 0.2479 0.0003
```



Entry 6:
This entry pairs a crystal structure of Cu8Te3 with its computed X-ray powder pattern. Radiation: Cu Kα X-rays. Structure: a cell relaxed with GGA-PBE.
Peak positions follow from Bragg's law for the DFT cell and can differ from measured ones.

Largest 10 diffraction maxima, by intensity, 10° ≤ 2θ ≤ 90°:
2θ 42.6, d = 2.120 Å, intensity 100, hkl 1 1 -12
2θ 43.2, d = 2.096 Å, intensity 90, hkl 3 1 4
2θ 49.3, d = 1.850 Å, intensity 87, hkl 0 2 0
2θ 42.5, d = 2.128 Å, intensity 86, hkl 3 1 3
2θ 31.2, d = 2.864 Å, intensity 72, hkl 2 0 8
2θ 27.8, d = 3.214 Å, intensity 64, hkl 1 1 -3
2θ 40.5, d = 2.229 Å, intensity 51, hkl 1 1 11
2θ 44.9, d = 2.017 Å, intensity 47, hkl 1 1 -13
2θ 29.9, d = 2.993 Å, intensity 43, hkl 1 1 -5
2θ 50.1, d = 1.821 Å, intensity 31, hkl 2 0 16

Crystal structure
```
data_Cu8Te3
_cell_length_a 8.0396
_cell_length_b 3.7012
_cell_length_c 32.7430
_cell_angle_alpha 90.00
_cell_angle_beta 90.22
_cell_angle_gamma 90.00
_space_group_name_H-M_alt 'C 1 2/m 1'
_space_group_IT_number 12
loop_
_space_group_symop_operation_xyz
'x,y,z'
'-x,-y,-z'
'-x,y,-z'
'x,-y,z'
'x+1/2,y+1/2,z'
'-x+1/2,-y+1/2,-z'
'-x+1/2,y+1/2,-z'
'x+1/2,-y+1/2,z'
loop_
_atom_site_label
_atom_site_fract_x
_atom_site_fract_y
_atom_site_fract_z
Cu1 0.0435 0.0000 0.0844
Cu2 0.0517 0.0000 0.8422
Cu3 0.0541 0.5000 0.9638
Cu4 0.1472 0.5000 0.1332
Cu5 0.1488 0.0000 0.0119
Cu6 0.1558 0.5000 0.8912
Cu7 0.2441 0.5000 0.0604
Cu8 0.2503 0.0000 0.1831
Te1 0.0498 0.5000 0.2168
Te2 0.1088 0.0000 0.3497
Te3 0.1295 0.0000 0.7073
```



Entry 7:
This entry pairs a crystal structure of LiW with its computed X-ray powder pattern. Radiation: Cu Kα X-rays. Structure: a cell relaxed with GGA-PBE.
Peak positions follow from Bragg's law for the DFT cell and can differ from measured ones.

Largest 10 diffraction maxima, by intensity, 10° ≤ 2θ ≤ 90°:
2θ 17.9, d = 4.947 Å, intensity 100, hkl 0 0 1
2θ 42.9, d = 2.109 Å, intensity 73, hkl 1 0 1
2θ 38.6, d = 2.332 Å, intensity 46, hkl 1 0 0
2θ 54.0, d = 1.697 Å, intensity 35, hkl 1 0 2
2θ 69.9, d = 1.346 Å, intensity 26, hkl 1 1 0
2θ 36.3, d = 2.473 Å, intensity 20, hkl 0 0 2
2θ 72.8, d = 1.299 Å, intensity 14, hkl 1 1 1
2θ 81.4, d = 1.182 Å, intensity 12, hkl 1 1 2
2θ 85.6, d = 1.135 Å, intensity 10, hkl 2 0 1
2θ 89.8, d = 1.093 Å, intensity 9, hkl 1 0 4

Crystal structure
```
data_LiW
_cell_length_a 2.6926
_cell_length_b 2.6926
_cell_length_c 4.9468
_cell_angle_alpha 90.00
_cell_angle_beta 90.00
_cell_angle_gamma 120.00
_space_group_name_H-M_alt 'P -6 m 2'
_space_group_IT_number 187
_space_group_name_Hall 'P -6 2'
loop_
_atom_site_label
_atom_site_fract_x
_atom_site_fract_y
_atom_site_fract_z
Li1 0.0000 0.0000 0.0000
W1 0.6667 0.3333 0.5000
```



Entry 8:
This entry pairs a crystal structure of SrCuB4 with its computed X-ray powder pattern. Radiation: Cu Kα X-rays. Structure: a cell relaxed with GGA-PBE.
Peak positions follow from Bragg's law for the DFT cell and can differ from measured ones.

Largest 10 diffraction maxima, by intensity, 10° ≤ 2θ ≤ 90°:
2θ 41.2, d = 2.190 Å, intensity 100, hkl 1 0 2
2θ 32.7, d = 2.741 Å, intensity 66, hkl 1 0 0
2θ 24.4, d = 3.643 Å, intensity 38, hkl 0 0 2
2θ 61.1, d = 1.517 Å, intensity 24, hkl 1 0 4
2θ 58.3, d = 1.583 Å, intensity 20, hkl 1 1 0
2θ 73.9, d = 1.283 Å, intensity 16, hkl 2 0 2
2θ 64.2, d = 1.452 Å, intensity 16, hkl 1 1 2
2θ 80.4, d = 1.195 Å, intensity 13, hkl 1 1 4
2θ 50.1, d = 1.822 Å, intensity 9, hkl 0 0 4
2θ 87.9, d = 1.110 Å, intensity 9, hkl 1 0 6

Crystal structure
```
data_SrCuB4
_cell_length_a 3.1652
_cell_length_b 3.1652
_cell_length_c 7.2862
_cell_angle_alpha 90.00
_cell_angle_beta 90.00
_cell_angle_gamma 120.00
_space_group_name_H-M_alt 'P 6/m m m'
_space_group_IT_number 191
_space_group_name_Hall '-P 6 2'
loop_
_atom_site_label
_atom_site_fract_x
_atom_site_fract_y
_atom_site_fract_z
Sr1 0.0000 0.0000 0.0000
Cu1 0.0000 0.0000 0.5000
B1 0.3333 0.6667 0.2995
```



Entry 9:
This entry pairs a crystal structure of Sm4BIBr4 with its computed X-ray powder pattern. Radiation: Cu Kα X-rays. Structure: a cell relaxed with GGA-PBE.
Peak positions follow from Bragg's law for the DFT cell and can differ from measured ones.

Largest 10 diffraction maxima, by intensity, 10° ≤ 2θ ≤ 90°:
2θ 30.1, d = 2.973 Å, intensity 100, hkl 1 1 -2
2θ 43.0, d = 2.102 Å, intensity 41, hkl 5 1 2
2θ 10.4, d = 8.490 Å, intensity 26, hkl 0 0 1
2θ 29.9, d = 2.986 Å, intensity 16, hkl 3 1 1
2θ 33.3, d = 2.694 Å, intensity 14, hkl 4 0 -3
2θ 27.3, d = 3.270 Å, intensity 13, hkl 3 1 -1
2θ 54.8, d = 1.676 Å, intensity 13, hkl 6 2 0
2θ 44.6, d = 2.030 Å, intensity 13, hkl 0 2 0
2θ 62.5, d = 1.486 Å, intensity 11, hkl 2 2 -4
2θ 41.3, d = 2.184 Å, intensity 10, hkl 2 0 -4

Crystal structure
```
data_Sm4BIBr4
_cell_length_a 18.3455
_cell_length_b 4.0606
_cell_length_c 8.7347
_cell_angle_alpha 90.00
_cell_angle_beta 103.59
_cell_angle_gamma 90.00
_space_group_name_H-M_alt 'C 1 2/m 1'
_space_group_IT_number 12
loop_
_space_group_symop_operation_xyz
'x,y,z'
'-x,-y,-z'
'-x,y,-z'
'x,-y,z'
'x+1/2,y+1/2,z'
'-x+1/2,-y+1/2,-z'
'-x+1/2,y+1/2,-z'
'x+1/2,-y+1/2,z'
loop_
_atom_site_label
_atom_site_fract_x
_atom_site_fract_y
_atom_site_fract_z
Sm1 0.0006 0.0000 0.2989
Sm2 0.1442 0.5000 0.5756
B1 0.0000 0.5000 0.5000
I1 0.0000 0.5000 0.0000
Br1 0.1658 0.0000 0.8263
Br2 0.1707 0.0000 0.3426
```



Entry 10:
This entry pairs a crystal structure of TaTlFeCu with its computed X-ray powder pattern. Radiation: Cu Kα X-rays. Structure: a cell relaxed with GGA-PBE.
Peak positions follow from Bragg's law for the DFT cell and can differ from measured ones.

Largest 7 diffraction maxima, by intensity, 10° ≤ 2θ ≤ 90°:
2θ 40.5, d = 2.229 Å, intensity 100, hkl 2 2 0
2θ 73.6, d = 1.287 Å, intensity 34, hkl 4 2 2
2θ 28.3, d = 3.152 Å, intensity 31, hkl 2 0 0
2θ 58.6, d = 1.576 Å, intensity 17, hkl 4 0 0
2θ 66.3, d = 1.410 Å, intensity 13, hkl 4 2 0
2θ 87.5, d = 1.114 Å, intensity 11, hkl 4 4 0
2θ 50.1, d = 1.820 Å, intensity 9, hkl 2 2 2

Crystal structure
```
data_TaTlFeCu
_cell_length_a 6.3042
_cell_length_b 6.3042
_cell_length_c 6.3042
_cell_angle_alpha 90.00
_cell_angle_beta 90.00
_cell_angle_gamma 90.00
_space_group_name_H-M_alt 'F -4 3 m'
_space_group_IT_number 216
_space_group_name_Hall 'F -4 2 3'
loop_
_atom_site_label
_atom_site_fract_x
_atom_site_fract_y
_atom_site_fract_z
Ta1 0.0000 0.0000 0.0000
Tl1 0.0000 0.0000 0.5000
Fe1 0.2500 0.2500 0.2500
Cu1 0.2500 0.2500 0.7500
```



Entry 11:
This entry pairs a crystal structure of CuAg4 with its computed X-ray powder pattern. Radiation: Cu Kα X-rays. Structure: a cell relaxed with GGA-PBE.
Peak positions follow from Bragg's law for the DFT cell and can differ from measured ones.

Largest 10 diffraction maxima, by intensity, 10° ≤ 2θ ≤ 90°:
2θ 38.5, d = 2.341 Å, intensity 100, hkl 1 0 5
2θ 44.4, d = 2.041 Å, intensity 34, hkl 1 1 0
2θ 77.7, d = 1.228 Å, intensity 23, hkl 2 1 5
2θ 65.3, d = 1.429 Å, intensity 17, hkl 1 1 10
2θ 45.3, d = 2.001 Å, intensity 13, hkl 0 0 10
2θ 64.6, d = 1.443 Å, intensity 11, hkl 2 0 0
2θ 82.4, d = 1.170 Å, intensity 9, hkl 2 0 10
2θ 79.1, d = 1.211 Å, intensity 8, hkl 1 0 15
2θ 33.8, d = 2.649 Å, intensity 5, hkl 1 0 3
2θ 69.2, d = 1.358 Å, intensity 4, hkl 1 0 13

Crystal structure
```
data_CuAg4
_cell_length_a 2.8861
_cell_length_b 2.8861
_cell_length_c 20.0099
_cell_angle_alpha 90.00
_cell_angle_beta 90.00
_cell_angle_gamma 90.00
_space_group_name_H-M_alt 'I 4/m m m'
_space_group_IT_number 139
_space_group_name_Hall '-I 4 2'
loop_
_atom_site_label
_atom_site_fract_x
_atom_site_fract_y
_atom_site_fract_z
Cu1 0.0000 0.0000 0.0000
Ag1 0.0000 0.0000 0.1968
Ag2 0.0000 0.0000 0.4099
```